No. 1
Starting from a structure optimized by DFT (GGA-PBE), the X-ray powder pattern of Er8ScBi6 was simulated for CuKα.
Kinematic intensities with the Lorentz-polarization factor, no thermal factor.

Main lines, in order of falling intensity (10 to 90 degrees two-theta):
- 2θ = 30.0°, I 100
- 2θ = 41.5°, I 40
- 2θ = 44.2°, I 26
- 2θ = 52.0°, I 22
- 2θ = 68.7°, I 19
- 2θ = 36.5°, I 16
- 2θ = 25.3°, I 14
- 2θ = 23.6°, I 14
- 2θ = 64.0°, I 12
- 2θ = 77.6°, I 10

```
Er8ScBi6
1.0
3.766 2.174 9.775
-3.766 2.174 9.775
0.000 -4.349 9.775
Er Sc Bi
8 1 6
Cartesian
-2.576 -0.022 11.105
0.000 0.000 4.898
-1.268 -2.242 18.220
1.307 -2.219 11.105
-1.307 2.219 18.221
1.268 2.242 11.105
0.000 0.000 24.427
2.576 0.022 18.220
0.000 0.000 14.663
-1.211 -2.124 12.880
-2.445 -0.013 16.445
-1.234 2.111 12.880
1.234 -2.111 16.445
2.445 0.013 12.881
1.211 2.124 16.445
```

No. 2
Starting from a structure optimized by DFT (GGA-PBE), the X-ray powder pattern of Er5ScBi6 was simulated for CuKα.
Kinematic intensities with the Lorentz-polarization factor, no thermal factor.

Main lines, in order of falling intensity (10 to 90 degrees two-theta):
- 2θ = 28.6°, I 100
- 2θ = 40.8°, I 78
- 2θ = 67.0°, I 36
- 2θ = 50.6°, I 28
- 2θ = 74.4°, I 27
- 2θ = 59.1°, I 13
- 2θ = 88.5°, I 9
- 2θ = 24.7°, I 5
- 2θ = 48.3°, I 3
- 2θ = 65.0°, I 1

```
Er5ScBi6
1.0
3.828 -6.631 0.000
3.828 6.631 0.000
-2.554 0.000 7.213
Er Sc Bi
5 1 6
Cartesian
0.000 0.000 0.000
2.551 4.436 3.607
3.828 2.252 0.000
3.828 -2.252 0.000
2.551 -4.436 3.607
2.551 0.000 3.607
1.303 2.167 1.841
0.055 0.000 5.397
1.303 -2.167 1.841
3.799 2.167 5.372
5.048 0.000 1.816
3.799 -2.167 5.372
```

No. 3
Starting from a structure optimized by DFT (GGA-PBE), the X-ray powder pattern of ErScBiTe was simulated for CuKα.
Kinematic intensities with the Lorentz-polarization factor, no thermal factor.

Main lines, in order of falling intensity (10 to 90 degrees two-theta):
- 2θ = 31.7°, I 100
- 2θ = 43.0°, I 56
- 2θ = 37.5°, I 47
- 2θ = 25.7°, I 42
- 2θ = 29.3°, I 33
- 2θ = 24.8°, I 28
- 2θ = 67.3°, I 27
- 2θ = 54.4°, I 22
- 2θ = 11.9°, I 21
- 2θ = 71.7°, I 19

```
ErScBiTe
1.0
2.105 1.215 7.415
-2.105 1.215 7.415
0.000 -2.430 7.415
Er Sc Bi Te
1 1 1 1
Cartesian
0.000 0.000 0.000
0.000 0.000 3.831
0.000 0.000 12.898
0.000 0.000 16.835
```

No. 4
Starting from a structure optimized by DFT (GGA-PBE), the X-ray powder pattern of Er6BiSe5 was simulated for CuKα.
Kinematic intensities with the Lorentz-polarization factor, no thermal factor.

Main lines, in order of falling intensity (10 to 90 degrees two-theta):
- 2θ = 30.8°, I 100
- 2θ = 43.9°, I 37
- 2θ = 44.2°, I 37
- 2θ = 54.8°, I 19
- 2θ = 73.0°, I 16
- 2θ = 72.5°, I 16
- 2θ = 81.1°, I 12
- 2θ = 64.1°, I 12
- 2θ = 26.6°, I 8
- 2θ = 54.3°, I 6

```
Er6BiSe5
1.0
3.550 -6.145 0.000
3.550 6.145 0.000
-2.375 0.000 6.755
Er Bi Se
6 1 5
Cartesian
-0.056 2.130 4.949
1.067 0.000 1.755
-0.056 -2.130 4.949
4.782 2.130 1.806
3.658 0.000 5.000
4.782 -2.130 1.806
3.550 0.000 0.000
-1.188 0.000 3.377
3.550 4.075 0.000
2.363 1.955 3.377
2.363 -1.955 3.377
3.550 -4.075 0.000
```

No. 5
Starting from a structure optimized by DFT (GGA-PBE), the X-ray powder pattern of ErBi2Se4 was simulated for CuKα.
Kinematic intensities with the Lorentz-polarization factor, no thermal factor.

Main lines, in order of falling intensity (10 to 90 degrees two-theta):
- 2θ = 22.8°, I 100
- 2θ = 32.0°, I 76
- 2θ = 29.9°, I 57
- 2θ = 41.2°, I 49
- 2θ = 64.2°, I 48
- 2θ = 40.7°, I 46
- 2θ = 23.7°, I 40
- 2θ = 40.2°, I 36
- 2θ = 29.2°, I 34
- 2θ = 39.4°, I 33

```
ErBi2Se4
1.0
1.936 -7.495 0.000
1.936 7.495 0.000
0.000 0.000 13.741
Er Bi Se
2 4 8
Cartesian
1.936 5.801 10.306
1.936 -5.801 3.435
1.936 1.989 7.854
1.936 1.989 12.757
1.936 -1.989 0.984
1.936 -1.989 5.887
0.000 0.000 0.000
0.000 0.000 6.870
1.936 3.049 1.709
1.936 3.049 5.161
1.936 0.361 10.306
1.936 -0.361 3.435
1.936 -3.049 8.579
1.936 -3.049 12.032
```

No. 6
Starting from a structure optimized by DFT (GGA-PBE), the X-ray powder pattern of Er4SiBiSe2 was simulated for CuKα.
Kinematic intensities with the Lorentz-polarization factor, no thermal factor.

Main lines, in order of falling intensity (10 to 90 degrees two-theta):
- 2θ = 30.3°, I 100
- 2θ = 43.6°, I 25
- 2θ = 43.1°, I 24
- 2θ = 53.9°, I 13
- 2θ = 43.5°, I 13
- 2θ = 43.3°, I 12
- 2θ = 71.8°, I 11
- 2θ = 71.0°, I 10
- 2θ = 79.5°, I 8
- 2θ = 63.0°, I 8

```
Er4SiBiSe2
1.0
7.181 0.000 0.000
0.000 4.164 0.000
-2.430 0.000 6.881
Er Si Bi Se
4 1 1 2
Cartesian
1.168 0.000 1.593
-0.067 2.082 5.300
4.817 2.082 1.581
3.583 0.000 5.288
0.000 2.082 0.000
-1.215 0.000 3.441
3.590 0.000 0.000
2.375 2.082 3.441
```

No. 7
Starting from a structure optimized by DFT (GGA-PBE), the X-ray powder pattern of Er5SiBi4 was simulated for CuKα.
Kinematic intensities with the Lorentz-polarization factor, no thermal factor.

Main lines, in order of falling intensity (10 to 90 degrees two-theta):
- 2θ = 28.8°, I 100
- 2θ = 41.2°, I 75
- 2θ = 67.7°, I 32
- 2θ = 51.1°, I 26
- 2θ = 75.2°, I 23
- 2θ = 59.7°, I 12
- 2θ = 89.5°, I 8
- 2θ = 31.0°, I 5
- 2θ = 36.1°, I 5
- 2θ = 59.4°, I 4

```
Er5SiBi4
1.0
-4.893 4.893 3.099
4.893 -4.893 3.099
4.893 4.893 -3.099
Er Si Bi
5 1 4
Cartesian
0.000 0.000 0.000
3.939 2.168 0.000
2.725 -0.953 3.099
2.168 5.846 0.000
0.953 2.725 3.099
0.000 0.000 3.099
6.800 0.896 0.000
0.896 2.986 0.000
3.997 1.907 3.099
-1.907 3.997 3.099
```

No. 8
Starting from a structure optimized by DFT (GGA-PBE), the X-ray powder pattern of Er4Si2Bi was simulated for CuKα.
Kinematic intensities with the Lorentz-polarization factor, no thermal factor.

Main lines, in order of falling intensity (10 to 90 degrees two-theta):
- 2θ = 30.5°, I 100
- 2θ = 27.0°, I 99
- 2θ = 30.1°, I 98
- 2θ = 36.2°, I 98
- 2θ = 19.1°, I 65
- 2θ = 36.1°, I 41
- 2θ = 50.2°, I 35
- 2θ = 47.6°, I 32
- 2θ = 45.8°, I 30
- 2θ = 38.9°, I 29

```
Er4Si2Bi
1.0
-4.635 4.635 4.702
4.635 -4.635 4.702
4.635 4.635 -4.702
Er Si Bi
8 4 2
Cartesian
2.971 2.317 -0.332
6.298 2.317 -0.332
0.000 0.654 2.019
4.635 0.654 2.682
0.000 3.981 2.019
4.635 3.981 2.682
-1.664 2.317 5.033
1.664 2.317 5.033
4.635 0.000 0.000
-2.317 2.317 2.351
0.000 0.000 4.702
2.317 2.317 2.351
4.635 -2.317 3.526
0.000 6.952 1.175
```

No. 9
Starting from a structure optimized by DFT (GGA-PBE), the X-ray powder pattern of Er3SiBi was simulated for CuKα.
Kinematic intensities with the Lorentz-polarization factor, no thermal factor.

Main lines, in order of falling intensity (10 to 90 degrees two-theta):
- 2θ = 29.2°, I 100
- 2θ = 28.2°, I 62
- 2θ = 27.2°, I 57
- 2θ = 29.8°, I 43
- 2θ = 52.3°, I 38
- 2θ = 31.5°, I 36
- 2θ = 32.9°, I 35
- 2θ = 27.4°, I 34
- 2θ = 40.6°, I 31
- 2θ = 38.4°, I 29

```
Er3SiBi
1.0
6.728 -3.772 0.000
6.728 3.772 0.000
-4.108 0.000 11.629
Er Si Bi
12 4 4
Cartesian
-1.362 0.429 9.374
1.971 1.939 10.953
0.692 -0.429 3.560
1.795 0.489 7.257
5.322 1.939 6.491
3.849 -0.489 1.443
5.498 0.489 10.186
4.026 -1.939 5.138
7.552 -0.489 4.371
8.655 0.429 8.069
7.376 -1.939 0.676
10.709 -0.429 2.255
3.364 1.886 0.000
3.647 2.093 8.722
1.310 -1.886 5.814
5.701 -2.093 2.907
3.269 1.102 4.341
8.133 1.102 1.474
1.215 -1.102 10.155
6.079 -1.102 7.288
```

No. 10
Starting from a structure optimized by DFT (GGA-PBE), the X-ray powder pattern of Sm8ErBi6 was simulated for CuKα.
Kinematic intensities with the Lorentz-polarization factor, no thermal factor.

Main lines, in order of falling intensity (10 to 90 degrees two-theta):
- 2θ = 29.1°, I 100
- 2θ = 40.1°, I 43
- 2θ = 43.1°, I 28
- 2θ = 50.3°, I 22
- 2θ = 66.2°, I 20
- 2θ = 24.5°, I 18
- 2θ = 35.5°, I 17
- 2θ = 70.4°, I 15
- 2θ = 62.2°, I 12
- 2θ = 74.9°, I 11

```
Sm8ErBi6
1.0
3.897 2.250 9.975
-3.897 2.250 9.975
0.000 -4.499 9.975
Sm Er Bi
8 1 6
Cartesian
-2.633 -0.008 11.367
0.000 0.000 4.991
-1.310 -2.284 18.558
1.323 -2.276 11.367
-1.323 2.276 18.558
1.310 2.284 11.367
0.000 0.000 24.934
2.633 0.008 18.558
0.000 0.000 14.963
-1.274 -2.217 13.125
-2.557 -0.005 16.800
-1.283 2.212 13.125
1.283 -2.212 16.800
2.557 0.005 13.125
1.274 2.217 16.800
```

No. 11
Starting from a structure optimized by DFT (GGA-PBE), the X-ray powder pattern of SmEr5Bi5 was simulated for CuKα.
Kinematic intensities with the Lorentz-polarization factor, no thermal factor.

Main lines, in order of falling intensity (10 to 90 degrees two-theta):
- 2θ = 40.9°, I 100
- 2θ = 28.5°, I 87
- 2θ = 28.6°, I 86
- 2θ = 28.8°, I 84
- 2θ = 40.9°, I 66
- 2θ = 67.0°, I 40
- 2θ = 50.6°, I 36
- 2θ = 50.8°, I 35
- 2θ = 41.1°, I 32
- 2θ = 67.3°, I 30

```
SmEr5Bi5
1.0
6.932 -3.131 0.000
6.932 3.131 0.000
-2.757 0.000 8.379
Sm Er Bi
1 5 5
Cartesian
0.000 0.000 0.000
-1.379 0.000 4.190
4.178 0.000 1.422
2.875 0.000 5.562
8.232 0.000 2.818
6.930 0.000 6.957
1.403 0.000 2.849
0.101 0.000 6.944
6.932 0.000 0.000
11.006 0.000 1.435
9.704 0.000 5.531
```

No. 12
Starting from a structure optimized by DFT (GGA-PBE), the X-ray powder pattern of Sm2ErThBi5 was simulated for CuKα.
Kinematic intensities with the Lorentz-polarization factor, no thermal factor.

Main lines, in order of falling intensity (10 to 90 degrees two-theta):
- 2θ = 31.1°, I 100
- 2θ = 43.9°, I 73
- 2θ = 21.9°, I 65
- 2θ = 30.1°, I 50
- 2θ = 23.2°, I 40
- 2θ = 54.8°, I 38
- 2θ = 44.6°, I 38
- 2θ = 37.5°, I 28
- 2θ = 31.6°, I 27
- 2θ = 26.6°, I 26

```
Sm2ErThBi5
1.0
5.743 0.000 0.000
0.000 5.743 0.000
0.000 0.000 11.866
Sm Er Th Bi
2 1 1 5
Cartesian
0.000 0.000 2.650
0.000 0.000 9.217
2.871 2.871 5.933
2.871 2.871 0.000
0.000 0.000 5.933
0.000 2.871 0.000
2.871 0.000 0.000
2.871 2.871 3.068
2.871 2.871 8.798
```

No. 13
Starting from a structure optimized by DFT (GGA-PBE), the X-ray powder pattern of SmEr2ThBi4 was simulated for CuKα.
Kinematic intensities with the Lorentz-polarization factor, no thermal factor.

Main lines, in order of falling intensity (10 to 90 degrees two-theta):
- 2θ = 28.0°, I 100
- 2θ = 39.9°, I 40
- 2θ = 40.0°, I 39
- 2θ = 49.4°, I 22
- 2θ = 57.8°, I 13
- 2θ = 65.3°, I 13
- 2θ = 65.4°, I 12
- 2θ = 65.5°, I 12
- 2θ = 72.5°, I 12
- 2θ = 72.5°, I 9

```
SmEr2ThBi4
1.0
7.797 0.000 0.000
0.000 4.523 0.000
-2.611 0.000 7.372
Sm Er Th Bi
1 2 1 4
Cartesian
0.000 0.000 0.000
2.593 0.000 3.686
3.898 2.261 0.000
-1.306 2.261 3.686
1.359 2.261 1.857
0.058 0.000 5.565
5.128 0.000 1.807
3.827 2.261 5.515
```